# 1
Simulated powder X-ray diffraction pattern
Compound: SmZn6Cu2
Radiation: CuKα
Structure: the GGA-PBE geometry in Alexandria

Largest 8 diffraction maxima, most intense first, 2θ = 15–90°:
Position (°2θ)  d (Å)  I_rel  index
45.1  2.012  100  4 4 0
26.0  3.431  61  3 1 1
31.4  2.845  52  4 0 0
83.2  1.161  28  8 4 4
62.7  1.481  19  7 3 1
41.2  2.190  18  3 3 3
65.6  1.422  15  8 0 0
74.6  1.272  14  8 4 0

Structural model:
Cell lengths 11.380, 11.380, 11.380 Å; angles 90.00, 90.00, 90.00 degrees
Space group Fd-3m (No. 227, origin choice 2)
One atom of each set of equivalent atoms:
Sm 0.125 0.125 0.125 (multiplicity 8)
Zn 0.113 0.375 0.875 (multiplicity 48)
Cu 0.000 0.000 0.500 (multiplicity 16)


# 2
Simulated powder X-ray diffraction pattern
Compound: Sm4ZnCu3
Radiation: CuKα
Structure: the GGA-PBE geometry in Alexandria

Largest 8 diffraction maxima, most intense first, 2θ = 15–90°:
Position (°2θ)  d (Å)  I_rel  index
35.5  2.526  100  1 1 2
63.8  1.458  35  2 2 0
51.1  1.786  17  2 0 0
24.9  3.572  16  1 0 0
86.1  1.130  15  3 1 2
75.2  1.263  9  0 4 0
57.7  1.597  7  2 1 2
43.9  2.062  5  1 2 0

Structural model:
```
data_Sm4ZnCu3
_space_group_name_H-M_alt 'P m m m'
_space_group_IT_number 47
_space_group_name_Hall '-P 2 2'
_cell_length_a 3.571
_cell_length_b 5.056
_cell_length_c 10.099
_cell_angle_alpha 90.00
_cell_angle_beta 90.00
_cell_angle_gamma 90.00
loop_
_atom_site_label
_atom_site_type_symbol
_atom_site_fract_x
_atom_site_fract_y
_atom_site_fract_z
_atom_site_occupancy
Sm1 Sm 0.000 0.000 0.000 1
Sm2 Sm 0.000 0.000 0.500 1
Sm3 Sm 0.000 0.500 0.245 1
Zn1 Zn 0.500 0.500 0.500 1
Cu1 Cu 0.500 0.000 0.253 1
Cu2 Cu 0.500 0.500 0.000 1
```


# 3
Simulated powder X-ray diffraction pattern
Compound: SmZn6Cu
Radiation: CuKα
Structure: the GGA-PBE geometry in Alexandria

Largest 8 diffraction maxima, most intense first, 2θ = 15–90°:
Position (°2θ)  d (Å)  I_rel  index
32.4  2.762  100  1 1 1
43.7  2.073  97  2 0 0
30.6  2.926  87  1 0 2
37.6  2.390  75  1 1 2
45.2  2.007  48  1 1 3
49.3  1.848  37  1 0 4
54.2  1.691  32  2 1 2
63.5  1.466  30  2 2 0

Structural model:
```
data_SmZn6Cu
_space_group_name_H-M_alt 'P 4/m m m'
_space_group_IT_number 123
_space_group_name_Hall '-P 4 2'
_cell_length_a 4.145
_cell_length_b 4.145
_cell_length_c 8.259
_cell_angle_alpha 90.00
_cell_angle_beta 90.00
_cell_angle_gamma 90.00
loop_
_atom_site_label
_atom_site_type_symbol
_atom_site_fract_x
_atom_site_fract_y
_atom_site_fract_z
_atom_site_occupancy
Sm1 Sm 0.000 0.000 0.000 1
Zn1 Zn 0.000 0.500 0.332 1
Zn2 Zn 0.500 0.500 0.147 1
Cu1 Cu 0.000 0.000 0.500 1
```